Record 1
Sm4Mg7Ge6: calculated PXRD pattern (a wavelength of 1.5418 Å), based on a crystal structure in the Materials Project, relaxed with PBE.
No peak broadening, texture or thermal motion is included.

Cell and atoms:
Cell lengths 8.5617, 8.5617, 12.4694 Å; angles 121.07, 121.07, 29.87 degrees
Fractional coordinates of all 17 atoms:
Sm 0.1301 0.1301 0.3388
Sm 0.2334 0.2334 0.1133
Sm 0.7666 0.7666 0.8867
Sm 0.8699 0.8699 0.6612
Mg 0.0000 0.0000 0.0000
Mg 0.1902 0.1902 0.6527
Mg 0.4369 0.4369 0.1026
Mg 0.4595 0.4595 0.3605
Mg 0.5405 0.5405 0.6395
Mg 0.5631 0.5631 0.8974
Mg 0.8098 0.8098 0.3473
Ge 0.1110 0.1110 0.8136
Ge 0.3503 0.3503 0.4793
Ge 0.3790 0.3790 0.8468
Ge 0.6210 0.6210 0.1532
Ge 0.6497 0.6497 0.5207
Ge 0.8890 0.8890 0.1864

Top 10 peaks for 2θ from 10° to 80°, in order of rising 2θ:
12.66 deg, 6.993 Å, I = 48
21.42 deg, 4.148 Å, I = 30
26.73 deg, 3.336 Å, I = 41
29.15 deg, 3.064 Å, I = 38
30.06 deg, 2.973 Å, I = 50
30.41 deg, 2.940 Å, I = 76
33.86 deg, 2.647 Å, I = 92
35.27 deg, 2.545 Å, I = 63
37.83 deg, 2.378 Å, I = 100
40.90 deg, 2.207 Å, I = 66

Record 2
Sm2MgGe2: calculated PXRD pattern (a wavelength of 1.5418 Å), based on a crystal structure in the Materials Project, relaxed with PBE.
No peak broadening, texture or thermal motion is included.

Cell and atoms:
Cell lengths 7.3850, 7.3850, 4.3609 Å; angles 90.00, 90.00, 90.00 degrees
Fractional coordinates of all 10 atoms:
Sm 0.1781 0.3219 0.0000
Sm 0.3219 0.8219 0.0000
Sm 0.6781 0.1781 0.0000
Sm 0.8219 0.6781 0.0000
Mg 0.0000 0.0000 0.5000
Mg 0.5000 0.5000 0.5000
Ge 0.1220 0.6220 0.5000
Ge 0.3780 0.1220 0.5000
Ge 0.6220 0.8780 0.5000
Ge 0.8780 0.3780 0.5000

Top 10 peaks for 2θ from 10° to 80°, in order of rising 2θ:
16.98 deg, 5.222 Å, I = 16
24.10 deg, 3.693 Å, I = 14
31.75 deg, 2.818 Å, I = 28
34.05 deg, 2.633 Å, I = 100
38.55 deg, 2.335 Å, I = 18
41.41 deg, 2.180 Å, I = 16
50.99 deg, 1.791 Å, I = 12
55.46 deg, 1.657 Å, I = 16
57.86 deg, 1.594 Å, I = 11
70.82 deg, 1.330 Å, I = 12

Record 3
Mg6Sn2Ge: calculated PXRD pattern (a wavelength of 1.5418 Å), based on a crystal structure in the Materials Project, relaxed with PBE.
No peak broadening, texture or thermal motion is included.

Cell and atoms:
Cell lengths 4.7315, 4.7315, 11.5203 Å; angles 90.00, 90.00, 120.00 degrees
Fractional coordinates of all 9 atoms:
Mg 0.0000 0.0000 0.2438
Mg 0.0000 0.0000 0.7562
Mg 0.3333 0.6667 0.4160
Mg 0.3333 0.6667 0.9218
Mg 0.6667 0.3333 0.0782
Mg 0.6667 0.3333 0.5840
Sn 0.3333 0.6667 0.6683
Sn 0.6667 0.3333 0.3317
Ge 0.0000 0.0000 0.0000

Top 10 peaks for 2θ from 10° to 80°, in order of rising 2θ:
23.04 deg, 3.861 Å, I = 100
23.16 deg, 3.840 Å, I = 32
26.70 deg, 3.339 Å, I = 19
38.04 deg, 2.366 Å, I = 60
38.20 deg, 2.356 Å, I = 60
44.98 deg, 2.015 Å, I = 51
45.15 deg, 2.008 Å, I = 17
55.00 deg, 1.669 Å, I = 21
60.30 deg, 1.535 Å, I = 15
68.83 deg, 1.364 Å, I = 21

Record 4
Mg4SnGe: calculated PXRD pattern (a wavelength of 1.5418 Å), based on a crystal structure in the Materials Project, relaxed with PBE.
No peak broadening, texture or thermal motion is included.

Cell and atoms:
Cell lengths 5.7636, 5.7636, 5.7636 Å; angles 60.00, 60.00, 60.00 degrees
Fractional coordinates of all 6 atoms:
Mg 0.1251 0.1251 0.1251
Mg 0.1251 0.1251 0.6247
Mg 0.1251 0.6247 0.1251
Mg 0.6247 0.1251 0.1251
Sn 0.7500 0.7500 0.7500
Ge 0.5000 0.5000 0.5000

Top 10 peaks for 2θ from 10° to 80°, in order of rising 2θ:
18.86 deg, 4.706 Å, I = 39
31.03 deg, 2.882 Å, I = 80
36.56 deg, 2.458 Å, I = 100
38.25 deg, 2.353 Å, I = 10
48.69 deg, 1.870 Å, I = 11
55.21 deg, 1.664 Å, I = 32
58.87 deg, 1.569 Å, I = 33
64.69 deg, 1.441 Å, I = 22
73.48 deg, 1.289 Å, I = 14
76.66 deg, 1.243 Å, I = 12

Record 5
SrMgGe: calculated PXRD pattern (a wavelength of 1.5418 Å), based on a crystal structure in the Materials Project, relaxed with PBE.
No peak broadening, texture or thermal motion is included.

Cell and atoms:
Cell lengths 7.8782, 4.6287, 8.6472 Å; angles 90.00, 90.00, 90.00 degrees
Fractional coordinates of all 12 atoms:
Sr 0.0155 0.2500 0.1833
Sr 0.4845 0.7500 0.6833
Sr 0.5155 0.2500 0.3167
Sr 0.9845 0.7500 0.8167
Mg 0.1423 0.2500 0.5626
Mg 0.3577 0.7500 0.0626
Mg 0.6423 0.2500 0.9374
Mg 0.8577 0.7500 0.4374
Ge 0.2209 0.7500 0.3901
Ge 0.2791 0.2500 0.8901
Ge 0.7209 0.7500 0.1099
Ge 0.7791 0.2500 0.6099

Top 10 peaks for 2θ from 10° to 80°, in order of rising 2θ:
23.47 deg, 3.790 Å, I = 18
24.57 deg, 3.624 Å, I = 21
30.48 deg, 2.933 Å, I = 56
30.70 deg, 2.912 Å, I = 19
31.57 deg, 2.834 Å, I = 100
33.09 deg, 2.707 Å, I = 19
35.73 deg, 2.513 Å, I = 17
36.73 deg, 2.447 Å, I = 29
38.91 deg, 2.314 Å, I = 32
65.91 deg, 1.417 Å, I = 17

Record 6
Tm7Mg3Ge8: calculated PXRD pattern (a wavelength of 1.5418 Å), based on a crystal structure in the Materials Project, relaxed with PBE.
No peak broadening, texture or thermal motion is included.

Cell and atoms:
Cell lengths 7.7026, 7.0889, 14.3270 Å; angles 90.00, 90.00, 90.00 degrees
Fractional coordinates of all 36 atoms:
Tm 0.0665 0.0000 0.1551
Tm 0.0664 0.9992 0.8444
Tm 0.0735 0.3224 0.6240
Tm 0.0744 0.3237 0.3762
Tm 0.4287 0.6607 0.8780
Tm 0.4325 0.9830 0.3441
Tm 0.4333 0.9845 0.6564
Tm 0.5675 0.4830 0.6559
Tm 0.5667 0.4845 0.3436
Tm 0.5713 0.1607 0.1220
Tm 0.9256 0.8237 0.6238
Tm 0.9265 0.8224 0.3760
Tm 0.9336 0.4992 0.1556
Tm 0.9335 0.5000 0.8449
Mg 0.2361 0.3318 0.0003
Mg 0.2650 0.6536 0.4999
Mg 0.4265 0.6617 0.1250
Mg 0.5735 0.1617 0.8750
Mg 0.7350 0.1536 0.5001
Mg 0.7639 0.8318 0.9997
Ge 0.1104 0.7034 0.9997
Ge 0.1573 0.0167 0.5004
Ge 0.2157 0.6644 0.7138
Ge 0.2173 0.6631 0.2858
Ge 0.2851 0.3213 0.2133
Ge 0.2859 0.3192 0.7879
Ge 0.3445 0.9644 0.0003
Ge 0.3895 0.2818 0.4999
Ge 0.6105 0.7818 0.5001
Ge 0.6555 0.4644 0.9997
Ge 0.7141 0.8192 0.2121
Ge 0.7149 0.8213 0.7867
Ge 0.7827 0.1631 0.7142
Ge 0.7843 0.1644 0.2862
Ge 0.8427 0.5167 0.4996
Ge 0.8896 0.2034 0.0003

Top 10 peaks for 2θ from 10° to 80°, in order of rising 2θ:
28.41 deg, 3.142 Å, I = 20
32.43 deg, 2.761 Å, I = 83
33.57 deg, 2.670 Å, I = 100
34.19 deg, 2.623 Å, I = 39
36.53 deg, 2.460 Å, I = 27
37.56 deg, 2.395 Å, I = 17
37.79 deg, 2.381 Å, I = 21
39.90 deg, 2.259 Å, I = 36
56.68 deg, 1.624 Å, I = 15
59.05 deg, 1.564 Å, I = 25